1.
Starting from a cell relaxed with PBE, the X-ray diffraction stick pattern of LiNb6Cl19 was simulated for Cu Ka.

Peak list (10 most intense, 10° ≤ 2θ ≤ 90°, sorted by position)
hkl, 2theta, I_rel
4 0 0, 12.36, 43
0 0 1, 12.73, 15
0 1 0, 12.86, 26
1 0 1, 13.10, 100
3 0 1, 15.77, 13
1 1 1, 18.40, 14
7 0 2, 33.84, 24
6 2 1, 34.63, 22
7 2 1, 36.49, 31
0 2 3, 47.28, 20

Cell and atoms:
Cell lengths 28.636, 6.882, 6.954 Å; angles 90.00, 90.00, 90.00 degrees
Space group Pmma (No. 51)
Symmetry-distinct sites (fractional):
Li  0.000  0.000  0.000 x2
Nb  0.107  0.288  0.159 x8
Nb  0.190  0.500  0.279 x4
Cl  0.053  0.500  0.327 x4
Cl  0.057  0.254  0.882 x8
Cl  0.058  0.000  0.298 x4
Cl  0.151  0.250  0.462 x8
Cl  0.154  0.000  0.029 x4
Cl  0.155  0.500  0.954 x4
Cl  0.250  0.265  0.142 x4
Cl  0.250  0.500  0.554 x2

***

2.
Starting from a cell relaxed with PBE, the X-ray diffraction stick pattern of LiNb3Cl8 was simulated for Cu Ka.

Peak list (10 most intense, 10° ≤ 2θ ≤ 90°, sorted by position)
hkl, 2theta, I_rel
1 1 1, 11.46, 100
0 0 2, 12.97, 15
0 2 0, 13.16, 13
2 0 0, 13.60, 17
4 0 0, 27.38, 6
5 1 1, 35.72, 11
0 4 4, 37.53, 18
3 1 5, 39.53, 8
6 0 0, 41.60, 10
6 4 4, 57.26, 7

Cell and atoms:
Cell lengths 13.026, 13.458, 13.655 Å; angles 90.00, 90.00, 90.00 degrees
Space group Cmce (No. 64)
Symmetry-distinct sites (fractional):
Li  0.000  0.080  0.087 x8
Nb  0.000  0.090  0.378 x8
Nb  0.000  0.124  0.589 x8
Nb  0.160  0.000  0.500 x8
Cl  0.000  0.040  0.751 x8
Cl  0.000  0.206  0.207 x8
Cl  0.000  0.246  0.960 x8
Cl  0.135  0.000  0.000 x8
Cl  0.187  0.109  0.357 x16
Cl  0.187  0.146  0.607 x16